Record 1
Starting from a GGA+U-relaxed structure, the powder X-ray diffraction pattern of Sr3Co2Cl2O5 was computed for copper Kα.
Intensities are scaled so that the largest is 1000.

Most intense lines, 2θ = 10–80°, in order of falling intensity:
2.603 Å, rel. 1000
2.735 Å, rel. 566
1.552 Å, rel. 387
1.934 Å, rel. 337
2.276 Å, rel. 188
1.480 Å, rel. 114
3.042 Å, rel. 108
1.368 Å, rel. 103
1.223 Å, rel. 92
1.211 Å, rel. 84

Structure:
```
Sr3Co2Cl2O5
1.0
-1.9341 1.9341 12.3170
1.9341 -1.9341 12.3170
1.9341 1.9341 -12.3170
Sr Co Cl O
3 2 2 5
Direct
0.0000 0.0000 0.0000
0.1525 0.1525 0.0000
0.8446 0.8446 0.0000
0.4222 0.4222 0.0000
0.5732 0.5732 0.0000
0.2945 0.2945 0.0000
0.7022 0.7022 0.0000
0.0859 0.5859 0.5000
0.4124 0.9124 0.5000
0.4994 0.4994 0.0000
0.5859 0.0859 0.5000
0.9124 0.4124 0.5000
```

=====

Record 2
Starting from a GGA+U-relaxed structure, the powder X-ray diffraction pattern of Co2TeCl2O3 was computed for copper Kα.
Intensities are scaled so that the largest is 1000.

Most intense lines, 2θ = 10–80°, in order of falling intensity:
8.227 Å, rel. 1000
2.608 Å, rel. 785
3.372 Å, rel. 578
3.783 Å, rel. 570
3.299 Å, rel. 552
3.656 Å, rel. 530
2.757 Å, rel. 425
2.774 Å, rel. 413
2.803 Å, rel. 407
4.114 Å, rel. 390

Structure:
```
Co2TeCl2O3
1.0
5.0598 0.0000 0.0000
0.0000 6.7432 0.0000
-2.2476 0.0000 8.2274
Co Te Cl O
4 2 4 6
Direct
0.0000 0.0000 0.0000
0.0000 0.5000 0.0000
0.2332 0.2500 0.7751
0.7668 0.7500 0.2249
0.4068 0.7500 0.7541
0.5932 0.2500 0.2459
0.1608 0.2500 0.4970
0.2544 0.7500 0.2002
0.7456 0.2500 0.7998
0.8392 0.7500 0.5030
0.2388 0.5378 0.8386
0.2388 0.9622 0.8386
0.2510 0.2500 0.0724
0.7490 0.7500 0.9276
0.7612 0.0378 0.1614
0.7612 0.4622 0.1614
```

=====

Record 3
Starting from a GGA+U-relaxed structure, the powder X-ray diffraction pattern of Cs2CrH8Cl5O4 was computed for copper Kα.
Intensities are scaled so that the largest is 1000.

Most intense lines, 2θ = 10–80°, in order of falling intensity:
4.695 Å, rel. 1000
4.231 Å, rel. 863
3.023 Å, rel. 623
2.937 Å, rel. 412
2.988 Å, rel. 395
3.121 Å, rel. 395
2.607 Å, rel. 382
2.139 Å, rel. 346
3.451 Å, rel. 283
3.321 Å, rel. 280

Structure:
```
Cs2CrH8Cl5O4
1.0
9.8349 -3.1213 0.0000
9.8349 3.1213 0.0000
-6.8666 0.0000 12.6140
Cs Cr H Cl O
4 2 16 10 8
Direct
0.1869 0.2142 0.3268
0.2142 0.1869 0.8268
0.7858 0.8131 0.1732
0.8131 0.7858 0.6732
0.5000 0.5000 0.0000
0.5000 0.5000 0.5000
0.0950 0.7088 0.4996
0.1013 0.6978 0.0012
0.1761 0.7748 0.6161
0.1981 0.7455 0.1207
0.2251 0.8239 0.8839
0.2545 0.8019 0.3793
0.2912 0.9050 0.0004
0.3022 0.8987 0.4988
0.6978 0.1013 0.5012
0.7088 0.0950 0.9996
0.7455 0.1981 0.6207
0.7748 0.1761 0.1161
0.8019 0.2545 0.8793
0.8239 0.2251 0.3839
0.8987 0.3022 0.9988
0.9050 0.2912 0.5004
0.0142 0.9858 0.2500
0.1812 0.2077 0.0715
0.2077 0.1812 0.5715
0.3901 0.3950 0.3301
0.3950 0.3901 0.8301
0.6050 0.6099 0.1699
0.6099 0.6050 0.6699
0.7923 0.8188 0.4285
0.8188 0.7923 0.9285
0.9858 0.0142 0.7500
0.2173 0.6883 0.0452
0.2298 0.6626 0.5499
0.3117 0.7827 0.4548
0.3374 0.7702 0.9501
0.6626 0.2298 0.0499
0.6883 0.2173 0.5452
0.7702 0.3374 0.4501
0.7827 0.3117 0.9548
```

=====

Record 4
Starting from a GGA+U-relaxed structure, the powder X-ray diffraction pattern of Cs2CrH2Cl5O was computed for copper Kα.
Intensities are scaled so that the largest is 1000.

Most intense lines, 2θ = 10–80°, in order of falling intensity:
4.071 Å, rel. 1000
2.762 Å, rel. 765
3.026 Å, rel. 511
2.884 Å, rel. 466
4.691 Å, rel. 241
2.354 Å, rel. 207
3.751 Å, rel. 195
1.747 Å, rel. 168
2.255 Å, rel. 167
1.594 Å, rel. 126

Structure:
```
Cs2CrH2Cl5O
1.0
9.7676 0.0000 0.0000
0.0000 8.1635 0.0000
-4.0063 0.0000 13.8520
Cs Cr H Cl O
8 4 8 20 4
Direct
0.0000 0.0000 0.0000
0.0826 0.0000 0.6387
0.1654 0.5000 0.6108
0.2481 0.5000 0.2496
0.4999 0.0000 0.4999
0.5826 0.0000 0.1386
0.6653 0.5000 0.1107
0.7482 0.5000 0.7496
0.0440 0.0000 0.3180
0.2041 0.5000 0.9318
0.5446 0.0000 0.8181
0.7037 0.5000 0.4314
0.3211 0.0980 0.8926
0.3211 0.9020 0.8926
0.4267 0.4019 0.8562
0.4267 0.5981 0.8562
0.8209 0.0981 0.3929
0.8209 0.9019 0.3929
0.9268 0.4019 0.3566
0.9268 0.5981 0.3566
0.0091 0.5000 0.9963
0.1000 0.2905 0.8184
0.1000 0.7095 0.8184
0.1482 0.2097 0.4314
0.1482 0.7903 0.4314
0.2388 0.0000 0.2533
0.3213 0.2897 0.0405
0.3213 0.7103 0.0405
0.4272 0.2104 0.7094
0.4272 0.7896 0.7094
0.5089 0.5000 0.4963
0.5995 0.2903 0.3182
0.5995 0.7097 0.3182
0.6490 0.2095 0.9314
0.6490 0.7905 0.9314
0.7393 0.0000 0.7532
0.8211 0.2898 0.5402
0.8211 0.7102 0.5402
0.9268 0.2102 0.2092
0.9268 0.7898 0.2092
0.3675 0.0000 0.8761
0.3818 0.5000 0.8743
0.8665 0.0000 0.3755
0.8811 0.5000 0.3737
```

=====

Record 5
Starting from a GGA+U-relaxed structure, the powder X-ray diffraction pattern of Cr2H2Pb4ClO10F was computed for copper Kα.
Intensities are scaled so that the largest is 1000.

Most intense lines, 2θ = 10–80°, in order of falling intensity:
3.246 Å, rel. 1000
2.173 Å, rel. 758
3.380 Å, rel. 609
3.361 Å, rel. 569
6.483 Å, rel. 502
3.189 Å, rel. 485
3.463 Å, rel. 455
4.546 Å, rel. 452
2.942 Å, rel. 440
2.363 Å, rel. 438

Structure:
```
Cr2H2Pb4ClO10F
1.0
7.7172 0.0000 0.0000
0.0000 7.0039 0.0000
0.0000 0.0000 11.9531
Cr H Pb Cl O F
4 4 8 2 20 2
Direct
0.0000 0.1471 0.0000
0.0000 0.1476 0.5040
0.5000 0.8524 0.0040
0.5000 0.8529 0.5000
0.2041 0.3443 0.7511
0.2959 0.6557 0.2511
0.7041 0.6557 0.2511
0.7959 0.3443 0.7511
0.0000 0.6236 0.1031
0.0000 0.6240 0.4031
0.2497 0.0804 0.2518
0.2503 0.9196 0.7518
0.5000 0.3764 0.6031
0.5000 0.3760 0.9031
0.7503 0.0804 0.2518
0.7497 0.9196 0.7518
0.0000 0.5769 0.7327
0.5000 0.4231 0.2327
0.0000 0.0271 0.8779
0.0000 0.0288 0.6262
0.0000 0.9912 0.3943
0.0000 0.9916 0.1102
0.1736 0.2818 0.0130
0.1742 0.2816 0.4901
0.1884 0.7326 0.2524
0.3116 0.2674 0.7524
0.3264 0.7182 0.5130
0.3258 0.7184 0.9901
0.5000 0.0084 0.6102
0.5000 0.0088 0.8943
0.5000 0.9712 0.1262
0.5000 0.9729 0.3779
0.6736 0.7182 0.5130
0.6742 0.7184 0.9901
0.6884 0.2674 0.7524
0.8116 0.7326 0.2524
0.8264 0.2818 0.0130
0.8258 0.2816 0.4901
0.0000 0.3714 0.2519
0.5000 0.6286 0.7519
```

=====

Record 6
Starting from a GGA+U-relaxed structure, the powder X-ray diffraction pattern of K2Cr3Cl2F6 was computed for copper Kα.
Intensities are scaled so that the largest is 1000.

Most intense lines, 2θ = 10–80°, in order of falling intensity:
3.168 Å, rel. 1000
2.721 Å, rel. 817
5.598 Å, rel. 788
3.606 Å, rel. 610
2.598 Å, rel. 521
5.032 Å, rel. 410
3.254 Å, rel. 393
2.539 Å, rel. 371
1.639 Å, rel. 350
2.029 Å, rel. 338

Structure:
```
K2Cr3Cl2F6
1.0
6.6591 0.0000 0.0000
0.0000 11.4519 0.0000
-4.1114 0.0000 6.3947
K Cr Cl F
4 6 4 12
Direct
0.1966 0.0502 0.3583
0.1966 0.4498 0.8583
0.8034 0.5502 0.1417
0.8034 0.9498 0.6417
0.3388 0.7468 0.7218
0.3388 0.7532 0.2218
0.5000 0.0000 0.0000
0.5000 0.5000 0.5000
0.6612 0.2468 0.7782
0.6612 0.2532 0.2782
0.1684 0.1702 0.9744
0.1684 0.3298 0.4744
0.8316 0.6702 0.5256
0.8316 0.8298 0.0256
0.2398 0.5911 0.2525
0.2398 0.9089 0.7525
0.3566 0.6874 0.9828
0.3566 0.8126 0.4828
0.4434 0.5839 0.7059
0.4434 0.9161 0.2059
0.5566 0.0839 0.7941
0.5566 0.4161 0.2941
0.6434 0.1874 0.5172
0.6434 0.3126 0.0172
0.7602 0.0911 0.2475
0.7602 0.4089 0.7475
```

=====

Record 7
Starting from a GGA+U-relaxed structure, the powder X-ray diffraction pattern of K2CrH2Cl5O was computed for copper Kα.
Intensities are scaled so that the largest is 1000.

Most intense lines, 2θ = 10–80°, in order of falling intensity:
2.859 Å, rel. 1000
2.345 Å, rel. 822
5.844 Å, rel. 745
2.916 Å, rel. 743
2.802 Å, rel. 671
5.605 Å, rel. 640
3.023 Å, rel. 444
3.165 Å, rel. 357
2.552 Å, rel. 304
5.103 Å, rel. 272

Structure:
```
K2CrH2Cl5O
1.0
13.9779 0.0000 0.0000
0.0000 9.3813 0.0000
0.0000 0.0000 7.4696
K Cr H Cl O
8 4 8 20 4
Direct
0.1513 0.0023 0.1313
0.1513 0.4977 0.1313
0.3487 0.5023 0.6313
0.3487 0.9977 0.6313
0.6513 0.0023 0.3687
0.6513 0.4977 0.3687
0.8487 0.5023 0.8687
0.8487 0.9977 0.8687
0.1063 0.7500 0.6900
0.3937 0.2500 0.1900
0.6063 0.7500 0.8100
0.8937 0.2500 0.3100
0.0343 0.1647 0.5348
0.0343 0.3353 0.5348
0.4657 0.6647 0.0348
0.4657 0.8353 0.0348
0.5343 0.1647 0.9652
0.5343 0.3353 0.9652
0.9657 0.6647 0.4652
0.9657 0.8353 0.4652
0.0075 0.7500 0.9539
0.1018 0.0040 0.6913
0.1018 0.4960 0.6913
0.2039 0.7500 0.4273
0.2443 0.7500 0.8744
0.2557 0.2500 0.3744
0.2961 0.2500 0.9273
0.3982 0.5040 0.1913
0.3982 0.9960 0.1913
0.4925 0.2500 0.4539
0.5075 0.7500 0.5461
0.6018 0.0040 0.8087
0.6018 0.4960 0.8087
0.7039 0.7500 0.0727
0.7443 0.7500 0.6256
0.7557 0.2500 0.1256
0.7961 0.2500 0.5727
0.8982 0.5040 0.3087
0.8982 0.9960 0.3087
0.9925 0.2500 0.0461
0.0157 0.2500 0.4646
0.4843 0.7500 0.9646
0.5157 0.2500 0.0354
0.9843 0.7500 0.5354
```